Entry 1:
Tl2CdAu2: calculated powder XRD pattern (Cu Kα, 1.54184 Å), based on a DFT-relaxed cell (PBE, Alexandria).
Peak positions follow from Bragg's law for the DFT cell and can differ from measured ones.

```
data_Tl2CdAu2
_chemical_formula_sum 'Tl2 Cd1 Au2'
_cell_length_a 4.3365
_cell_length_b 5.6435
_cell_length_c 6.2442
_cell_angle_alpha 65.60
_cell_angle_beta 69.86
_cell_angle_gamma 67.73
_space_group_name_H-M_alt 'P -1'
_space_group_IT_number 2
_space_group_name_Hall '-P 1'
loop_
_atom_site_label
_atom_site_type_symbol
_atom_site_fract_x
_atom_site_fract_y
_atom_site_fract_z
_atom_site_occupancy
Tl1 Tl 0.2110 0.2730 0.3043 1
Cd1 Cd 0.0000 0.0000 0.0000 1
Au1 Au 0.4759 0.3103 0.7369 1
```

The 10 most intense peaks (15 to 90 degrees two-theta), by angle:
2θ = 30.8°, I 29, (1 0 -1); 2θ = 30.9°, I 29, (1 1 2); 2θ = 31.5°, I 37, (0 1 2); 2θ = 32.3°, I 49, (0 0 2); 2θ = 32.9°, I 64, (1 -1 0); 2θ = 33.1°, I 63, (1 2 1); 2θ = 35.3°, I 100, (1 1 -1); 2θ = 36.4°, I 59, (0 2 0); 2θ = 40.2°, I 36, (0 2 2); 2θ = 41.7°, I 60, (2 1 1)

Entry 2:
Tl2CdAu3: calculated powder XRD pattern (Cu Kα, 1.54184 Å), based on a DFT-relaxed cell (PBE, Alexandria).
Peak positions follow from Bragg's law for the DFT cell and can differ from measured ones.

```
data_Tl2CdAu3
_chemical_formula_sum 'Tl4 Cd2 Au6'
_cell_length_a 9.6981
_cell_length_b 5.7611
_cell_length_c 5.7288
_cell_angle_alpha 90.00
_cell_angle_beta 121.65
_cell_angle_gamma 90.00
_space_group_name_H-M_alt 'C 1 2/m 1'
_space_group_IT_number 12
_space_group_name_Hall '-C 2y'
loop_
_atom_site_label
_atom_site_type_symbol
_atom_site_fract_x
_atom_site_fract_y
_atom_site_fract_z
_atom_site_occupancy
Tl1 Tl 0.1201 0.0000 0.3581 1
Cd1 Cd 0.0000 0.5000 0.5000 1
Au1 Au 0.0000 0.5000 0.0000 1
Au2 Au 0.2500 0.2500 0.0000 1
```

The 10 most intense peaks (15 to 90 degrees two-theta), by angle:
2θ = 30.0°, I 58, (1 1 1); 2θ = 35.1°, I 35, (2 0 1); 2θ = 36.0°, I 65, (1 1 -2); 2θ = 36.2°, I 100, (3 1 0); 2θ = 37.0°, I 89, (2 2 -1); 2θ = 37.4°, I 42, (4 0 -1); 2θ = 37.5°, I 44, (3 1 -2); 2θ = 38.1°, I 73, (2 2 0); 2θ = 58.5°, I 35, (2 2 -3); 2θ = 62.4°, I 39, (2 2 2)

Entry 3:
TlCd4Au5: calculated powder XRD pattern (Cu Kα, 1.54184 Å), based on a DFT-relaxed cell (PBE, Alexandria).
Peak positions follow from Bragg's law for the DFT cell and can differ from measured ones.

```
data_TlCd4Au5
_chemical_formula_sum 'Tl1 Cd4 Au5'
_cell_length_a 3.3773
_cell_length_b 3.3773
_cell_length_c 17.8020
_cell_angle_alpha 90.00
_cell_angle_beta 90.00
_cell_angle_gamma 90.00
_space_group_name_H-M_alt 'P 4/m m m'
_space_group_IT_number 123
_space_group_name_Hall '-P 4 2'
loop_
_atom_site_label
_atom_site_type_symbol
_atom_site_fract_x
_atom_site_fract_y
_atom_site_fract_z
_atom_site_occupancy
Tl1 Tl 0.0000 0.0000 0.0000 1
Cd1 Cd 0.0000 0.0000 0.2124 1
Cd2 Cd 0.0000 0.0000 0.4042 1
Au1 Au 0.5000 0.5000 0.1179 1
Au2 Au 0.5000 0.5000 0.3089 1
Au3 Au 0.5000 0.5000 0.5000 1
```

The 10 most intense peaks (15 to 90 degrees two-theta), by angle:
2θ = 33.3°, I 5, (1 0 4); 2θ = 36.7°, I 100, (1 0 5); 2θ = 37.7°, I 52, (1 1 0); 2θ = 40.5°, I 5, (1 0 6); 2θ = 51.3°, I 7, (0 0 10); 2θ = 54.3°, I 18, (2 0 0); 2θ = 65.4°, I 13, (1 1 10); 2θ = 67.3°, I 34, (2 1 5); 2θ = 78.0°, I 8, (2 0 10); 2θ = 80.4°, I 6, (2 2 0)

Entry 4:
Tl2CdAu4: calculated powder XRD pattern (Cu Kα, 1.54184 Å), based on a DFT-relaxed cell (PBE, Alexandria).
Peak positions follow from Bragg's law for the DFT cell and can differ from measured ones.

```
data_Tl2CdAu4
_chemical_formula_sum 'Tl2 Cd1 Au4'
_cell_length_a 5.5138
_cell_length_b 5.5767
_cell_length_c 7.3518
_cell_angle_alpha 71.43
_cell_angle_beta 77.83
_cell_angle_gamma 60.43
_space_group_name_H-M_alt 'P -1'
_space_group_IT_number 2
_space_group_name_Hall '-P 1'
loop_
_atom_site_label
_atom_site_type_symbol
_atom_site_fract_x
_atom_site_fract_y
_atom_site_fract_z
_atom_site_occupancy
Tl1 Tl 0.0320 0.1575 0.1780 1
Cd1 Cd 0.5000 0.0000 0.5000 1
Au1 Au 0.0000 0.5000 0.5000 1
Au2 Au 0.3301 0.5116 0.1603 1
Au3 Au 0.5000 0.5000 0.5000 1
```

The 10 most intense peaks (15 to 90 degrees two-theta), by angle:
2θ = 18.9°, I 57, (0 1 0); 2θ = 23.2°, I 53, (1 0 -1); 2θ = 30.8°, I 37, (1 0 2); 2θ = 32.2°, I 35, (1 2 1); 2θ = 36.2°, I 44, (1 -1 1); 2θ = 37.6°, I 100, (2 1 2); 2θ = 38.4°, I 81, (2 1 -1); 2θ = 38.8°, I 79, (0 0 3); 2θ = 39.2°, I 37, (-1 1 2); 2θ = 40.1°, I 33, (2 2 2)

Entry 5:
Tl17Cd11Au: calculated powder XRD pattern (Cu Kα, 1.54184 Å), based on a DFT-relaxed cell (PBE, Alexandria).
Peak positions follow from Bragg's law for the DFT cell and can differ from measured ones.

```
data_Tl17Cd11Au
_chemical_formula_sum 'Tl34 Cd22 Au2'
_cell_length_a 11.7057
_cell_length_b 16.5796
_cell_length_c 10.1204
_cell_angle_alpha 90.00
_cell_angle_beta 125.23
_cell_angle_gamma 90.00
_space_group_name_H-M_alt 'C 1 m 1'
_space_group_IT_number 8
_space_group_name_Hall 'C -2y'
loop_
_atom_site_label
_atom_site_type_symbol
_atom_site_fract_x
_atom_site_fract_y
_atom_site_fract_z
_atom_site_occupancy
Tl1 Tl 0.0000 0.0000 0.0000 1
Tl2 Tl 0.0001 0.0000 0.3586 1
Tl3 Tl 0.0569 0.3410 0.4022 1
Tl4 Tl 0.1415 0.5000 0.6492 1
Tl5 Tl 0.1589 0.1573 0.6116 1
Tl6 Tl 0.1774 0.1772 0.0013 1
Tl7 Tl 0.1831 0.5000 0.2944 1
Tl8 Tl 0.3012 0.3015 0.3236 1
Tl9 Tl 0.3868 0.0000 0.7202 1
Tl10 Tl 0.4594 0.1399 0.0048 1
Tl11 Tl 0.4804 0.1972 0.6843 1
Cd1 Cd 0.0029 0.1824 0.1899 1
Cd2 Cd 0.2234 0.4104 0.0037 1
Cd3 Cd 0.2727 0.0916 0.3649 1
Cd4 Cd 0.3174 0.3175 0.8178 1
Cd5 Cd 0.3568 0.0000 0.1644 1
Cd6 Cd 0.4143 0.4083 0.6451 1
Au1 Au 0.1770 0.0000 0.8174 1
```

The 10 most intense peaks (15 to 90 degrees two-theta), by angle:
2θ = 30.5°, I 5, (0 4 2); 2θ = 32.4°, I 100, (3 3 -3); 2θ = 36.0°, I 12, (3 5 -2); 2θ = 36.0°, I 4, (2 0 -4); 2θ = 37.6°, I 8, (4 4 -2); 2θ = 39.2°, I 7, (4 4 -3); 2θ = 46.5°, I 4, (4 6 -1); 2θ = 54.3°, I 4, (4 8 -2); 2θ = 57.9°, I 20, (2 8 2); 2θ = 57.9°, I 11, (7 1 -5)

Entry 6:
Tl4CdAu5: calculated powder XRD pattern (Cu Kα, 1.54184 Å), based on a DFT-relaxed cell (PBE, Alexandria).
Peak positions follow from Bragg's law for the DFT cell and can differ from measured ones.

```
data_Tl4CdAu5
_chemical_formula_sum 'Tl4 Cd1 Au5'
_cell_length_a 5.7915
_cell_length_b 6.4755
_cell_length_c 7.4807
_cell_angle_alpha 77.41
_cell_angle_beta 68.45
_cell_angle_gamma 68.35
_space_group_name_H-M_alt 'P 1'
_space_group_IT_number 1
_space_group_name_Hall 'P 1'
loop_
_atom_site_label
_atom_site_type_symbol
_atom_site_fract_x
_atom_site_fract_y
_atom_site_fract_z
_atom_site_occupancy
Tl1 Tl 0.0000 0.0000 0.0000 1
Tl2 Tl 0.0233 0.5241 0.7306 1
Tl3 Tl 0.2660 0.3224 0.1726 1
Tl4 Tl 0.6801 0.1711 0.6035 1
Cd1 Cd 0.7023 0.7388 0.3928 1
Au1 Au 0.1919 0.7721 0.3508 1
Au2 Au 0.2356 0.0725 0.5689 1
Au3 Au 0.4516 0.6094 0.7942 1
Au4 Au 0.5699 0.8736 0.9941 1
Au5 Au 0.7162 0.4205 0.1848 1
```

The 10 most intense peaks (15 to 90 degrees two-theta), by angle:
2θ = 31.0°, I 100, (0 1 -2); 2θ = 31.1°, I 17, (-1 1 1); 2θ = 31.4°, I 51, (0 2 1); 2θ = 33.3°, I 20, (2 0 1); 2θ = 33.8°, I 19, (2 1 2); 2θ = 37.6°, I 20, (2 2 2); 2θ = 40.5°, I 51, (0 1 3); 2θ = 40.7°, I 16, (1 -2 1); 2θ = 43.8°, I 13, (2 0 3); 2θ = 48.1°, I 16, (2 3 0)

Entry 7:
Tl3CdAu2: calculated powder XRD pattern (Cu Kα, 1.54184 Å), based on a DFT-relaxed cell (PBE, Alexandria).
Peak positions follow from Bragg's law for the DFT cell and can differ from measured ones.

```
data_Tl3CdAu2
_chemical_formula_sum 'Tl12 Cd4 Au8'
_cell_length_a 13.7889
_cell_length_b 10.2960
_cell_length_c 4.6578
_cell_angle_alpha 90.00
_cell_angle_beta 90.00
_cell_angle_gamma 90.00
_space_group_name_H-M_alt 'C m c 21'
_space_group_IT_number 36
_space_group_name_Hall 'C 2c -2'
loop_
_atom_site_label
_atom_site_type_symbol
_atom_site_fract_x
_atom_site_fract_y
_atom_site_fract_z
_atom_site_occupancy
Tl1 Tl 0.0000 0.1120 0.0000 1
Tl2 Tl 0.2436 0.1173 0.0021 1
Cd1 Cd 0.0000 0.3902 0.5021 1
Au1 Au 0.1179 0.3582 0.0021 1
```

The 10 most intense peaks (15 to 90 degrees two-theta), by angle:
2θ = 21.9°, I 27, (1 1 1); 2θ = 25.8°, I 16, (0 2 1); 2θ = 34.9°, I 27, (0 4 0); 2θ = 36.8°, I 100, (4 2 1); 2θ = 38.7°, I 23, (0 0 2); 2θ = 53.0°, I 17, (0 4 2); 2θ = 53.1°, I 9, (8 0 0); 2θ = 63.8°, I 16, (4 6 1); 2θ = 68.8°, I 16, (4 2 3); 2θ = 78.4°, I 10, (8 4 2)

Entry 8:
TlCd2Au: calculated powder XRD pattern (Cu Kα, 1.54184 Å), based on a DFT-relaxed cell (PBE, Alexandria).
Peak positions follow from Bragg's law for the DFT cell and can differ from measured ones.

```
data_TlCd2Au
_chemical_formula_sum 'Tl2 Cd4 Au2'
_cell_length_a 6.1121
_cell_length_b 4.2434
_cell_length_c 7.2054
_cell_angle_alpha 90.00
_cell_angle_beta 90.00
_cell_angle_gamma 90.00
_space_group_name_H-M_alt 'P m m a'
_space_group_IT_number 51
_space_group_name_Hall '-P 2a 2a'
loop_
_atom_site_label
_atom_site_type_symbol
_atom_site_fract_x
_atom_site_fract_y
_atom_site_fract_z
_atom_site_occupancy
Tl1 Tl 0.0000 0.0000 0.0000 1
Cd1 Cd 0.0000 0.0000 0.5000 1
Cd2 Cd 0.2500 0.5000 0.2737 1
Au1 Au 0.2500 0.5000 0.7064 1
```

The 10 most intense peaks (15 to 90 degrees two-theta), by angle:
2θ = 24.3°, I 14, (0 1 1); 2θ = 32.6°, I 100, (0 1 2); 2θ = 36.2°, I 84, (2 1 0); 2θ = 38.6°, I 63, (2 0 2); 2θ = 42.6°, I 27, (0 2 0); 2θ = 53.1°, I 13, (2 1 3); 2θ = 58.9°, I 37, (2 2 2); 2θ = 63.9°, I 20, (2 1 4); 2θ = 70.5°, I 21, (4 1 2); 2θ = 73.8°, I 11, (2 3 0)

Entry 9:
Tm5Cd4Au: calculated powder XRD pattern (Cu Kα, 1.54184 Å), based on a DFT-relaxed cell (PBE, Alexandria).
Peak positions follow from Bragg's law for the DFT cell and can differ from measured ones.

```
data_Tm5Cd4Au
_chemical_formula_sum 'Tm5 Cd4 Au1'
_cell_length_a 3.6597
_cell_length_b 3.6597
_cell_length_c 18.3812
_cell_angle_alpha 90.00
_cell_angle_beta 90.00
_cell_angle_gamma 90.00
_space_group_name_H-M_alt 'P 4/m m m'
_space_group_IT_number 123
_space_group_name_Hall '-P 4 2'
loop_
_atom_site_label
_atom_site_type_symbol
_atom_site_fract_x
_atom_site_fract_y
_atom_site_fract_z
_atom_site_occupancy
Tm1 Tm 0.0000 0.0000 0.0000 1
Tm2 Tm 0.0000 0.0000 0.2042 1
Tm3 Tm 0.0000 0.0000 0.4081 1
Cd1 Cd 0.5000 0.5000 0.1019 1
Cd2 Cd 0.5000 0.5000 0.3032 1
Au1 Au 0.5000 0.5000 0.5000 1
```

The 10 most intense peaks (15 to 90 degrees two-theta), by angle:
2θ = 24.3°, I 1, (1 0 0); 2θ = 34.6°, I 100, (1 1 0); 2θ = 49.6°, I 6, (0 0 10); 2θ = 49.8°, I 12, (2 0 0); 2θ = 61.9°, I 11, (1 1 10); 2θ = 62.1°, I 24, (2 1 5); 2θ = 73.0°, I 7, (2 0 10); 2θ = 73.1°, I 4, (2 2 0); 2θ = 83.1°, I 5, (1 0 15); 2θ = 83.5°, I 11, (3 1 0)

Entry 10:
TmCd3Au3: calculated powder XRD pattern (Cu Kα, 1.54184 Å), based on a DFT-relaxed cell (PBE, Alexandria).
Peak positions follow from Bragg's law for the DFT cell and can differ from measured ones.

```
data_TmCd3Au3
_chemical_formula_sum 'Tm4 Cd12 Au12'
_cell_length_a 8.4334
_cell_length_b 8.4334
_cell_length_c 8.4334
_cell_angle_alpha 90.00
_cell_angle_beta 90.00
_cell_angle_gamma 90.00
_space_group_name_H-M_alt 'P 21 3'
_space_group_IT_number 198
_space_group_name_Hall 'P 2ac 2ab 3'
loop_
_atom_site_label
_atom_site_type_symbol
_atom_site_fract_x
_atom_site_fract_y
_atom_site_fract_z
_atom_site_occupancy
Tm1 Tm 0.0527 0.4473 0.5527 1
Cd1 Cd 0.0991 0.5991 0.9009 1
Cd2 Cd 0.1222 0.8778 0.3778 1
Cd3 Cd 0.1898 0.1898 0.1898 1
Au1 Au 0.0601 0.2611 0.8577 1
```

The 10 most intense peaks (15 to 90 degrees two-theta), by angle:
2θ = 25.9°, I 28, (2 1 1); 2θ = 33.6°, I 100, (3 1 0); 2θ = 35.3°, I 33, (3 1 1); 2θ = 38.5°, I 57, (3 0 2); 2θ = 40.0°, I 84, (3 2 1); 2θ = 44.3°, I 26, (3 2 2); 2θ = 48.3°, I 16, (4 0 2); 2θ = 65.5°, I 18, (5 1 3); 2θ = 68.6°, I 17, (5 3 2); 2θ = 71.7°, I 33, (5 0 4)

Entry 11:
Tm2Cd2Au: calculated powder XRD pattern (Cu Kα, 1.54184 Å), based on a DFT-relaxed cell (PBE, Alexandria).
Peak positions follow from Bragg's law for the DFT cell and can differ from measured ones.

```
data_Tm2Cd2Au
_chemical_formula_sum 'Tm4 Cd4 Au2'
_cell_length_a 3.4907
_cell_length_b 20.5590
_cell_length_c 3.4220
_cell_angle_alpha 90.00
_cell_angle_beta 90.00
_cell_angle_gamma 90.00
_space_group_name_H-M_alt 'C m m m'
_space_group_IT_number 65
_space_group_name_Hall '-C 2 2'
loop_
_atom_site_label
_atom_site_type_symbol
_atom_site_fract_x
_atom_site_fract_y
_atom_site_fract_z
_atom_site_occupancy
Tm1 Tm 0.0000 0.0884 0.0000 1
Cd1 Cd 0.0000 0.3073 0.5000 1
Au1 Au 0.0000 0.5000 0.5000 1
```

The 10 most intense peaks (15 to 90 degrees two-theta), by angle:
2θ = 31.4°, I 27, (0 4 1); 2θ = 33.7°, I 66, (1 5 0); 2θ = 37.1°, I 100, (0 6 1); 2θ = 44.0°, I 13, (0 10 0); 2θ = 52.4°, I 10, (2 0 0); 2θ = 53.5°, I 12, (0 0 2); 2θ = 62.6°, I 20, (1 11 1); 2θ = 64.8°, I 21, (1 5 2); 2θ = 66.0°, I 15, (2 6 1); 2θ = 78.2°, I 8, (2 0 2)

Entry 12:
VCdAu6: calculated powder XRD pattern (Cu Kα, 1.54184 Å), based on a DFT-relaxed cell (PBE, Alexandria).
Peak positions follow from Bragg's law for the DFT cell and can differ from measured ones.

```
data_VCdAu6
_chemical_formula_sum 'V1 Cd1 Au6'
_cell_length_a 4.1685
_cell_length_b 4.1685
_cell_length_c 8.3219
_cell_angle_alpha 90.00
_cell_angle_beta 90.00
_cell_angle_gamma 90.00
_space_group_name_H-M_alt 'P 4/m m m'
_space_group_IT_number 123
_space_group_name_Hall '-P 4 2'
loop_
_atom_site_label
_atom_site_type_symbol
_atom_site_fract_x
_atom_site_fract_y
_atom_site_fract_z
_atom_site_occupancy
V1 V 0.0000 0.0000 0.0000 1
Cd1 Cd 0.0000 0.0000 0.5000 1
Au1 Au 0.0000 0.5000 0.2412 1
Au2 Au 0.5000 0.5000 0.0000 1
Au3 Au 0.5000 0.5000 0.5000 1
```

The 10 most intense peaks (15 to 90 degrees two-theta), by angle:
2θ = 21.3°, I 8, (1 0 0); 2θ = 30.3°, I 7, (1 1 0); 2θ = 37.4°, I 100, (1 1 2); 2θ = 43.4°, I 49, (2 0 0); 2θ = 48.9°, I 4, (2 1 0); 2θ = 53.9°, I 3, (2 1 2); 2θ = 63.1°, I 32, (2 2 0); 2θ = 75.7°, I 26, (3 1 2); 2θ = 75.8°, I 12, (1 1 6); 2θ = 79.7°, I 11, (2 2 4)

Entry 13:
CdW4Au: calculated powder XRD pattern (Cu Kα, 1.54184 Å), based on a DFT-relaxed cell (PBE, Alexandria).
Peak positions follow from Bragg's law for the DFT cell and can differ from measured ones.

```
data_CdW4Au
_chemical_formula_sum 'Cd4 W16 Au4'
_cell_length_a 7.5693
_cell_length_b 7.5693
_cell_length_c 7.5693
_cell_angle_alpha 90.00
_cell_angle_beta 90.00
_cell_angle_gamma 90.00
_space_group_name_H-M_alt 'F -4 3 m'
_space_group_IT_number 216
_space_group_name_Hall 'F -4 2 3'
loop_
_atom_site_label
_atom_site_type_symbol
_atom_site_fract_x
_atom_site_fract_y
_atom_site_fract_z
_atom_site_occupancy
Cd1 Cd 0.0000 0.0000 0.0000 1
W1 W 0.1254 0.1254 0.6254 1
Au1 Au 0.2500 0.2500 0.2500 1
```

The 10 most intense peaks (15 to 90 degrees two-theta), by angle:
2θ = 20.3°, I 12, (1 1 1); 2θ = 33.5°, I 22, (2 2 0); 2θ = 39.5°, I 100, (3 1 1); 2θ = 41.3°, I 45, (2 2 2); 2θ = 48.1°, I 7, (4 0 0); 2θ = 59.9°, I 8, (4 2 2); 2θ = 63.9°, I 33, (5 1 1); 2θ = 70.4°, I 29, (4 4 0); 2θ = 83.8°, I 12, (5 3 3); 2θ = 85.0°, I 18, (6 2 2)